CaMn2V4CuO12: computed XRD peak list (Cu Ka), based on DFT lattice parameters and positions (PBE+U).

Structure:
Unit cell a=6.463 b=6.463 c=6.463 alpha=110.26 beta=109.37 gamma=108.79
Positions (direct):
Ca 0.000 0.000 0.000
Mn 0.500 0.000 0.500
Mn 0.500 0.500 0.000
V 0.000 0.000 0.500
V 0.000 0.500 0.000
V 0.500 0.000 0.000
V 0.500 0.500 0.500
Cu 0.000 0.500 0.500
O 0.111 0.293 0.818
O 0.189 0.496 0.308
O 0.189 0.881 0.692
O 0.304 0.190 0.494
O 0.304 0.810 0.114
O 0.475 0.293 0.182
O 0.525 0.707 0.818
O 0.696 0.190 0.886
O 0.696 0.810 0.506
O 0.811 0.119 0.308
O 0.811 0.504 0.692
O 0.889 0.707 0.182

Main lines, low angle first (5 to 70 degrees two-theta):
2θ/deg, d/Å, intensity
33.81, 2.651, 99
34.01, 2.636, 94
34.13, 2.627, 100
48.38, 1.881, 34
48.75, 1.868, 30
60.53, 1.530, 47
60.77, 1.524, 49
61.15, 1.516, 47



DyMn2O5: computed XRD peak list (Cu Ka), based on DFT lattice parameters and positions (PBE+U).

Structure:
Unit cell a=7.355 b=8.569 c=5.788 alpha=90.00 beta=90.00 gamma=90.00
Positions (direct):
Dy 0.138 0.171 0.000
Dy 0.362 0.671 0.000
Dy 0.638 0.329 0.000
Dy 0.862 0.829 0.000
Mn 0.000 0.500 0.254
Mn 0.000 0.500 0.746
Mn 0.089 0.848 0.500
Mn 0.411 0.348 0.500
Mn 0.500 0.000 0.254
Mn 0.500 0.000 0.746
Mn 0.589 0.652 0.500
Mn 0.911 0.152 0.500
O 0.000 0.000 0.270
O 0.000 0.000 0.730
O 0.107 0.707 0.240
O 0.107 0.707 0.760
O 0.151 0.430 0.500
O 0.164 0.443 0.000
O 0.336 0.943 0.000
O 0.349 0.930 0.500
O 0.393 0.207 0.240
O 0.393 0.207 0.760
O 0.500 0.500 0.270
O 0.500 0.500 0.730
O 0.607 0.793 0.240
O 0.607 0.793 0.760
O 0.651 0.070 0.500
O 0.664 0.057 0.000
O 0.836 0.557 0.000
O 0.849 0.570 0.500
O 0.893 0.293 0.240
O 0.893 0.293 0.760

Main lines, low angle first (5 to 70 degrees two-theta):
2θ/deg, d/Å, intensity
15.31, 5.788, 42
28.62, 3.119, 67
30.63, 2.918, 100
33.66, 2.663, 39
34.92, 2.569, 26
41.06, 2.198, 28
54.78, 1.676, 27
59.54, 1.553, 21



SrEuCrBiO6: computed XRD peak list (Cu Ka), based on DFT lattice parameters and positions (PBE+U).

Structure:
Unit cell a=5.805 b=5.805 c=5.805 alpha=60.00 beta=60.00 gamma=60.00
Positions (direct):
Sr 0.000 0.000 0.000
Eu 0.500 0.500 0.500
Cr 0.750 0.750 0.750
Bi 0.250 0.250 0.250
O 0.506 0.506 0.994
O 0.506 0.994 0.506
O 0.506 0.994 0.994
O 0.994 0.506 0.506
O 0.994 0.506 0.994
O 0.994 0.994 0.506

Main lines, low angle first (5 to 70 degrees two-theta):
2θ/deg, d/Å, intensity
18.72, 4.740, 25
30.81, 2.903, 100
36.29, 2.475, 17
44.12, 2.052, 30
48.32, 1.883, 8
54.78, 1.676, 40
64.17, 1.451, 19
67.50, 1.388, 6



Fe4P3O15: computed XRD peak list (Cu Ka), based on DFT lattice parameters and positions (PBE+U).

Structure:
Unit cell a=10.658 b=10.658 c=7.265 alpha=100.30 beta=100.30 gamma=41.42
Positions (direct):
Fe 0.156 0.682 0.847
Fe 0.316 0.344 0.146
Fe 0.318 0.844 0.653
Fe 0.344 0.316 0.646
Fe 0.656 0.684 0.354
Fe 0.682 0.156 0.347
Fe 0.684 0.656 0.854
Fe 0.844 0.318 0.153
P 0.037 0.300 0.587
P 0.300 0.037 0.087
P 0.379 0.621 0.250
P 0.621 0.379 0.750
P 0.700 0.963 0.913
P 0.963 0.700 0.413
O 0.071 0.562 0.240
O 0.110 0.116 0.104
O 0.114 0.605 0.586
O 0.116 0.110 0.604
O 0.152 0.848 0.750
O 0.193 0.276 0.557
O 0.236 0.453 0.903
O 0.240 0.728 0.078
O 0.272 0.760 0.422
O 0.276 0.193 0.057
O 0.395 0.886 0.914
O 0.437 0.438 0.251
O 0.438 0.437 0.751
O 0.438 0.929 0.260
O 0.453 0.236 0.403
O 0.547 0.764 0.597
O 0.562 0.071 0.740
O 0.562 0.563 0.249
O 0.563 0.562 0.749
O 0.605 0.114 0.086
O 0.724 0.807 0.943
O 0.728 0.240 0.578
O 0.760 0.272 0.922
O 0.764 0.547 0.097
O 0.807 0.724 0.443
O 0.848 0.152 0.250
O 0.884 0.890 0.396
O 0.886 0.395 0.414
O 0.890 0.884 0.896
O 0.929 0.438 0.760

Main lines, low angle first (5 to 70 degrees two-theta):
2θ/deg, d/Å, intensity
12.58, 7.034, 37
18.13, 4.893, 28
25.32, 3.517, 32
26.57, 3.355, 94
27.27, 3.271, 100
27.50, 3.244, 35
33.85, 2.648, 29
43.34, 2.088, 25